Diffraction record for Cs3CdBr5. The powder X-ray diffraction pattern is computed, not measured: it uses DFT lattice parameters and positions (GGA-PBE) and λ = 1.5418 Å (Cu Kα).
Neutral-atom scattering factors, no anomalous dispersion.

Most intense lines, 2θ from 10° to 80°, in order of falling intensity:
h k l  2θ (°)  d (Å)  Rel. int.
2 1 3  26.04  3.422  100
3 1 0  28.63  3.118  35
2 0 2  21.07  4.217  26
2 2 0  25.55  3.486  22
5 2 3  52.76  1.735  19
2 0 4  28.44  3.138  17

Structural model:
Lattice parameters (Å, degrees): 9.8612 9.8612 16.2740 90.00 90.00 90.00
Space group I4/mcm (No. 140)
One atom of each set of equivalent atoms:
Cs 0.0000 0.0000 0.2500 x4
Cs 0.1607 0.3393 0.0000 x8
Cd 0.0000 0.5000 0.2500 x4
Br 0.0000 0.0000 0.0000 x4
Br 0.1487 0.3513 0.3489 x16

***

Diffraction record for Cs2CdBr4. The powder X-ray diffraction pattern is computed, not measured: it uses DFT lattice parameters and positions (GGA-PBE) and λ = 1.5418 Å (Cu Kα).
Neutral-atom scattering factors, no anomalous dispersion.

Most intense lines, 2θ from 10° to 80°, in order of falling intensity:
h k l  2θ (°)  d (Å)  Rel. int.
2 0 -2  20.29  4.376  100
0 3 1  26.82  3.325  77
1 0 2  20.94  4.241  75
0 0 4  25.01  3.560  71
2 2 -1  27.35  3.261  65
1 3 -2  28.80  3.100  50

Structural model:
Lattice parameters (Å, degrees): 8.7576 10.2525 16.4616 90.00 120.04 90.00
Space group P2_1/c (No. 14)
One atom of each set of equivalent atoms:
Cs 0.0523 0.0184 0.3193 x4
Cs 0.3585 0.1160 0.1004 x4
Cd 0.3279 0.7206 0.0764 x4
Br 0.1126 0.6771 0.4112 x4
Br 0.2288 0.6920 0.6939 x4
Br 0.3188 0.0322 0.5797 x4
Br 0.3589 0.1787 0.8719 x4

***

Diffraction record for Cs2CdBr4. The powder X-ray diffraction pattern is computed, not measured: it uses DFT lattice parameters and positions (GGA-PBE) and λ = 1.5418 Å (Cu Kα).
Neutral-atom scattering factors, no anomalous dispersion.

Most intense lines, 2θ from 10° to 80°, in order of falling intensity:
h k l  2θ (°)  d (Å)  Rel. int.
2 2 1  28.34  3.149  100
0 2 0  21.65  4.104  68
0 1 3  21.43  4.147  68
3 1 1  28.47  3.136  55
3 0 1  26.27  3.393  54
0 0 4  24.71  3.603  53

Structural model:
Lattice parameters (Å, degrees): 10.4731 8.2088 14.4137 90.00 90.00 90.00
Space group Pnma (No. 62)
One atom of each set of equivalent atoms:
Cs 0.0169 0.2500 0.1752 x4
Cs 0.1236 0.7500 0.4074 x4
Cd 0.2238 0.7500 0.0768 x4
Br 0.0265 0.2500 0.9133 x4
Br 0.1784 0.5101 0.6563 x8
Br 0.1803 0.2500 0.4070 x4